Simulated powder diffractogram
Compound: Li4MnCo2NiO8
Radiation: Cu Ka
Structure: a structure optimized by DFT (GGA+U)

The 8 most intense peaks (5° ≤ 2θ ≤ 70°), by angle:
- 18.6 deg, I 100
- 36.2 deg, I 13
- 36.5 deg, I 27
- 38.1 deg, I 9
- 43.9 deg, I 24
- 44.2 deg, I 47
- 63.9 deg, I 19
- 64.3 deg, I 12

Structural model:
Cell lengths 5.0553, 5.0553, 10.0679 Å; angles 99.33, 99.33, 33.08 degrees
Fractional positions:
Li 0.0000 0.0000 0.0000
Li 0.4971 0.4971 0.7182
Li 0.5013 0.5013 0.2471
Li 0.9956 0.9956 0.4810
Mn 0.2489 0.2489 0.8674
Co 0.2509 0.2509 0.3616
Co 0.7508 0.7508 0.1178
Ni 0.7507 0.7507 0.6086
O 0.1353 0.1353 0.6962
O 0.1431 0.1431 0.1773
O 0.3598 0.3598 0.0526
O 0.3679 0.3679 0.5384
O 0.6390 0.6390 0.4177
O 0.6413 0.6413 0.9343
O 0.8576 0.8576 0.2943
O 0.8631 0.8631 0.8158